No. 1
Starting from DFT lattice parameters and positions (PBE+U), the X-ray powder pattern of NaFeF3 was computed for Cu Ka.
Kinematic intensities with the Lorentz-polarization factor, no thermal factor.

Atomic structure:
abc: 5.799 7.920 5.544
angles: 90.00 90.00 90.00
Element x y z (fractional)
Na  0.062  0.250  0.021
Na  0.438  0.750  0.521
Na  0.562  0.250  0.479
Na  0.938  0.750  0.979
Fe  0.000  0.000  0.500
Fe  0.000  0.500  0.500
Fe  0.500  0.000  0.000
Fe  0.500  0.500  0.000
F  0.044  0.750  0.379
F  0.194  0.557  0.802
F  0.194  0.943  0.802
F  0.306  0.057  0.302
F  0.306  0.443  0.302
F  0.456  0.250  0.879
F  0.544  0.750  0.121
F  0.694  0.557  0.698
F  0.694  0.943  0.698
F  0.806  0.057  0.198
F  0.806  0.443  0.198
F  0.956  0.250  0.621

The 8 most intense peaks (2θ = 10–90°), low angle first:
d [Å]  two_theta  I/Imax
4.007  22.18  67
3.960  22.45  30
2.899  30.84  26
2.817  31.77  100
2.384  37.73  25
2.004  45.26  42
1.980  45.83  24
1.609  57.24  52

---

No. 2
Starting from DFT lattice parameters and positions (PBE+U), the X-ray powder pattern of Na2Fe2F7 was computed for Cu Ka.
Kinematic intensities with the Lorentz-polarization factor, no thermal factor.

Atomic structure:
abc: 7.555 7.555 7.555
angles: 121.56 89.57 118.95
Element x y z (fractional)
Na  0.248  0.000  0.248
Na  0.251  0.000  0.749
Na  0.251  0.502  0.251
Na  0.752  0.000  0.752
Fe  0.252  0.501  0.751
Fe  0.750  0.501  0.249
Fe  0.751  0.001  0.250
Fe  0.751  0.500  0.750
F  0.069  0.730  0.339
F  0.076  0.244  0.442
F  0.076  0.634  0.832
F  0.112  0.272  0.840
F  0.392  0.730  0.661
F  0.426  0.368  0.668
F  0.426  0.758  0.058
F  0.431  0.272  0.160
F  0.644  0.144  0.500
F  0.700  0.368  0.942
F  0.700  0.758  0.332
F  0.802  0.244  0.168
F  0.802  0.634  0.558
F  0.858  0.858  0.000

The 8 most intense peaks (2θ = 10–90°), low angle first:
d [Å]  two_theta  I/Imax
6.241  14.19  51
5.318  16.67  40
3.776  23.56  36
3.175  28.10  24
3.121  28.60  100
3.039  29.39  83
1.888  48.20  82
1.622  56.77  53

---

No. 3
Starting from DFT lattice parameters and positions (PBE+U), the X-ray powder pattern of NaFeF3 was computed for Cu Ka.
Kinematic intensities with the Lorentz-polarization factor, no thermal factor.

Atomic structure:
abc: 5.420 5.420 7.518
angles: 90.00 90.00 145.82
Element x y z (fractional)
Na  0.247  0.753  0.750
Na  0.753  0.247  0.250
Fe  0.500  0.500  0.000
Fe  0.500  0.500  0.500
F  0.130  0.870  0.058
F  0.130  0.870  0.442
F  0.416  0.584  0.250
F  0.584  0.416  0.750
F  0.870  0.130  0.558
F  0.870  0.130  0.942

The 8 most intense peaks (2θ = 10–90°), low angle first:
d [Å]  two_theta  I/Imax
5.180  17.12  46
3.759  23.67  24
3.043  29.35  100
2.341  38.45  51
2.235  40.35  30
1.987  45.65  47
1.577  58.54  28
1.569  58.85  18